Structure and theoretical X-ray powder pattern of SrEuBiSbO6 (DFT lattice parameters and positions (PBE); Cu Kα, 1.54184 Å).
Lines closer than 0.1° are merged.

Crystal structure
```
data_SrEuBiSbO6
_chemical_formula_sum 'Sr2 Eu2 Bi2 Sb2 O12'
_cell_length_a 5.896
_cell_length_b 6.087
_cell_length_c 8.440
_cell_angle_alpha 90.09
_cell_angle_beta 90.12
_cell_angle_gamma 90.02
_space_group_name_H-M_alt 'P -1'
_space_group_IT_number 2
_space_group_name_Hall '-P 1'
loop_
_atom_site_label
_atom_site_type_symbol
_atom_site_fract_x
_atom_site_fract_y
_atom_site_fract_z
_atom_site_occupancy
Sr1 Sr 0.012 0.451 0.252 1
Eu1 Eu 0.483 0.950 0.250 1
Bi1 Bi 0.000 0.000 0.500 1
Bi2 Bi 0.500 0.500 0.000 1
Sb1 Sb 0.000 0.000 0.000 1
Sb2 Sb 0.500 0.500 0.500 1
O1 O 0.113 0.962 0.772 1
O2 O 0.183 0.727 0.061 1
O3 O 0.221 0.685 0.453 1
O4 O 0.277 0.186 0.055 1
O5 O 0.323 0.220 0.440 1
O6 O 0.401 0.452 0.729 1
```

The 8 most intense peaks (2θ = 10–90°), sorted by position:
- hkl 0 2 0, 29.34 deg, intensity 23.2
- hkl 1 -1 2, 29.89 deg, intensity 100.0
- hkl 2 0 0, 30.32 deg, intensity 23.3
- hkl 2 -2 0, 42.70 deg, intensity 21.9
- hkl 0 0 4, 42.86 deg, intensity 12.4
- hkl 1 -3 2, 52.38 deg, intensity 16.3
- hkl 0 2 4, 52.79 deg, intensity 10.7
- hkl 3 -1 2, 53.62 deg, intensity 17.3

Structure and theoretical X-ray powder pattern of SrEuZnBiO6 (DFT lattice parameters and positions (PBE); Cu Kα, 1.54184 Å).
Lines closer than 0.1° are merged.

Crystal structure
```
data_SrEuZnBiO6
_chemical_formula_sum 'Sr4 Eu4 Zn4 Bi4 O24'
_cell_length_a 8.233
_cell_length_b 8.233
_cell_length_c 8.233
_cell_angle_alpha 90.00
_cell_angle_beta 90.00
_cell_angle_gamma 90.00
_space_group_name_H-M_alt 'F -4 3 m'
_space_group_IT_number 216
_space_group_name_Hall 'F -4 2 3'
loop_
_atom_site_label
_atom_site_type_symbol
_atom_site_fract_x
_atom_site_fract_y
_atom_site_fract_z
_atom_site_occupancy
Sr1 Sr 0.000 0.000 0.000 1
Eu1 Eu 0.000 0.000 0.500 1
Zn1 Zn 0.250 0.250 0.750 1
Bi1 Bi 0.250 0.250 0.250 1
O1 O 0.004 0.250 0.750 1
```

The 8 most intense peaks (2θ = 10–90°), sorted by position:
- hkl 1 1 1, 18.67 deg, intensity 19.4
- hkl 2 2 0, 30.72 deg, intensity 100.0
- hkl 3 1 1, 36.19 deg, intensity 12.5
- hkl 4 0 0, 43.99 deg, intensity 29.9
- hkl 4 2 2, 54.61 deg, intensity 40.8
- hkl 4 4 0, 63.97 deg, intensity 18.6
- hkl 6 2 0, 72.63 deg, intensity 17.9
- hkl 6 4 2, 88.97 deg, intensity 22.3

Structure and theoretical X-ray powder pattern of PmEuTlBi (DFT lattice parameters and positions (PBE); Cu Kα, 1.54184 Å).
Lines closer than 0.1° are merged.

Crystal structure
```
data_PmEuTlBi
_chemical_formula_sum 'Pm4 Eu4 Tl4 Bi4'
_cell_length_a 7.930
_cell_length_b 7.930
_cell_length_c 7.930
_cell_angle_alpha 90.00
_cell_angle_beta 90.00
_cell_angle_gamma 90.00
_space_group_name_H-M_alt 'F -4 3 m'
_space_group_IT_number 216
_space_group_name_Hall 'F -4 2 3'
loop_
_atom_site_label
_atom_site_type_symbol
_atom_site_fract_x
_atom_site_fract_y
_atom_site_fract_z
_atom_site_occupancy
Pm1 Pm 0.000 0.000 0.000 1
Eu1 Eu 0.000 0.000 0.500 1
Tl1 Tl 0.250 0.250 0.750 1
Bi1 Bi 0.250 0.250 0.250 1
```

The 8 most intense peaks (2θ = 10–90°), sorted by position:
- hkl 2 0 0, 22.42 deg, intensity 2.6
- hkl 2 2 0, 31.92 deg, intensity 100.0
- hkl 4 0 0, 45.77 deg, intensity 18.7
- hkl 4 2 0, 51.54 deg, intensity 1.3
- hkl 4 2 2, 56.88 deg, intensity 39.5
- hkl 4 4 0, 66.72 deg, intensity 12.3
- hkl 6 2 0, 75.88 deg, intensity 17.2
- hkl 4 4 4, 84.68 deg, intensity 4.4

Structure and theoretical X-ray powder pattern of EuTlBi4 (DFT lattice parameters and positions (PBE); Cu Kα, 1.54184 Å).
Lines closer than 0.1° are merged.

Crystal structure
```
data_EuTlBi4
_chemical_formula_sum 'Eu4 Tl4 Bi16'
_cell_length_a 9.397
_cell_length_b 9.397
_cell_length_c 9.397
_cell_angle_alpha 90.00
_cell_angle_beta 90.00
_cell_angle_gamma 90.00
_space_group_name_H-M_alt 'F -4 3 m'
_space_group_IT_number 216
_space_group_name_Hall 'F -4 2 3'
loop_
_atom_site_label
_atom_site_type_symbol
_atom_site_fract_x
_atom_site_fract_y
_atom_site_fract_z
_atom_site_occupancy
Eu1 Eu 0.000 0.000 0.000 1
Tl1 Tl 0.250 0.250 0.750 1
Bi1 Bi 0.124 0.124 0.376 1
```

The 8 most intense peaks (2θ = 10–90°), sorted by position:
- hkl 2 2 0, 26.83 deg, intensity 21.3
- hkl 3 1 1, 31.58 deg, intensity 100.0
- hkl 2 2 2, 33.02 deg, intensity 46.3
- hkl 3 3 3, 50.46 deg, intensity 36.8
- hkl 4 4 0, 55.30 deg, intensity 33.4
- hkl 5 3 3, 65.09 deg, intensity 13.1
- hkl 6 2 2, 65.94 deg, intensity 19.9
- hkl 7 3 1, 78.12 deg, intensity 23.9

Structure and theoretical X-ray powder pattern of BiF4 (DFT lattice parameters and positions (PBE); Cu Kα, 1.54184 Å).
Lines closer than 0.1° are merged.

Crystal structure
```
data_BiF4
_chemical_formula_sum 'Bi1 F4'
_cell_length_a 3.834
_cell_length_b 3.821
_cell_length_c 5.459
_cell_angle_alpha 90.00
_cell_angle_beta 109.97
_cell_angle_gamma 90.00
_space_group_name_H-M_alt 'P 1 2/m 1'
_space_group_IT_number 10
_space_group_name_Hall '-P 2y'
loop_
_atom_site_label
_atom_site_type_symbol
_atom_site_fract_x
_atom_site_fract_y
_atom_site_fract_z
_atom_site_occupancy
Bi1 Bi 0.000 0.000 0.000 1
F1 F 0.118 0.500 0.238 1
F2 F 0.384 0.000 0.762 1
```

The 8 most intense peaks (2θ = 10–90°), sorted by position:
- hkl 0 0 1, 17.28 deg, intensity 100.0
- hkl 0 1 0, 23.28 deg, intensity 47.3
- hkl 1 0 0, 24.71 deg, intensity 41.0
- hkl 1 0 -1, 24.88 deg, intensity 40.4
- hkl 0 1 1, 29.14 deg, intensity 54.9
- hkl 1 0 1, 34.98 deg, intensity 23.7
- hkl 1 1 1, 42.44 deg, intensity 50.8
- hkl 1 1 -2, 42.76 deg, intensity 30.1

Structure and theoretical X-ray powder pattern of BiF5 (DFT lattice parameters and positions (PBE); Cu Kα, 1.54184 Å).
Lines closer than 0.1° are merged.

Crystal structure
```
data_BiF5
_chemical_formula_sum 'Bi2 F10'
_cell_length_a 5.666
_cell_length_b 5.682
_cell_length_c 8.146
_cell_angle_alpha 95.66
_cell_angle_beta 108.24
_cell_angle_gamma 113.74
_space_group_name_H-M_alt 'P -1'
_space_group_IT_number 2
_space_group_name_Hall '-P 1'
loop_
_atom_site_label
_atom_site_type_symbol
_atom_site_fract_x
_atom_site_fract_y
_atom_site_fract_z
_atom_site_occupancy
Bi1 Bi 0.000 0.000 0.000 1
Bi2 Bi 0.500 0.000 0.500 1
F1 F 0.010 0.319 0.139 1
F2 F 0.146 0.892 0.249 1
F3 F 0.312 0.637 0.538 1
F4 F 0.317 0.134 0.635 1
F5 F 0.399 0.220 0.032 1
```

The 8 most intense peaks (2θ = 10–90°), sorted by position:
- hkl 0 1 0, 17.69 deg, intensity 100.0
- hkl -1 1 1, 20.86 deg, intensity 32.9
- hkl 1 -1 1, 23.70 deg, intensity 24.5
- hkl 0 0 2, 23.81 deg, intensity 24.9
- hkl 0 1 -2, 25.74 deg, intensity 40.7
- hkl 2 -1 0, 33.28 deg, intensity 12.6
- hkl 0 2 -2, 37.62 deg, intensity 18.1
- hkl 1 -2 3, 47.17 deg, intensity 14.6

Structure and theoretical X-ray powder pattern of Bi3F7 (DFT lattice parameters and positions (PBE); Cu Kα, 1.54184 Å).
Lines closer than 0.1° are merged.

Crystal structure
```
data_Bi3F7
_chemical_formula_sum 'Bi6 F14'
_cell_length_a 8.7904
_cell_length_b 8.7904
_cell_length_c 5.0595
_cell_angle_alpha 90.00
_cell_angle_beta 90.00
_cell_angle_gamma 120.00
_space_group_name_H-M_alt 'P 63 m c'
_space_group_IT_number 186
_space_group_name_Hall 'P 6c -2c'
loop_
_atom_site_label
_atom_site_type_symbol
_atom_site_fract_x
_atom_site_fract_y
_atom_site_fract_z
_atom_site_occupancy
Bi1 Bi 0.1861 0.3722 0.0000 1
F1 F 0.0968 0.5484 0.2118 1
F2 F 0.1231 0.2463 0.4604 1
F3 F 0.3333 0.6667 0.8110 1
```

The 8 most intense peaks (2θ = 10–90°), sorted by position:
- hkl 1 0 1, 21.08 deg, intensity 59.3
- hkl 2 0 0, 23.37 deg, intensity 33.3
- hkl 2 0 1, 29.36 deg, intensity 100.0
- hkl 3 0 1, 39.74 deg, intensity 23.0
- hkl 2 2 0, 41.09 deg, intensity 38.4
- hkl 2 1 2, 47.86 deg, intensity 21.6
- hkl 2 2 2, 55.38 deg, intensity 22.9
- hkl 3 2 1, 55.68 deg, intensity 24.4

Structure and theoretical X-ray powder pattern of BiF5 (DFT lattice parameters and positions (PBE); Cu Kα, 1.54184 Å).
Lines closer than 0.1° are merged.

Crystal structure
```
data_BiF5
_chemical_formula_sum 'Bi4 F20'
_cell_length_a 3.817
_cell_length_b 11.545
_cell_length_c 8.850
_cell_angle_alpha 90.00
_cell_angle_beta 90.00
_cell_angle_gamma 90.00
_space_group_name_H-M_alt 'C m c m'
_space_group_IT_number 63
_space_group_name_Hall '-C 2c 2'
loop_
_atom_site_label
_atom_site_type_symbol
_atom_site_fract_x
_atom_site_fract_y
_atom_site_fract_z
_atom_site_occupancy
Bi1 Bi 0.000 0.000 0.000 1
F1 F 0.000 0.031 0.250 1
F2 F 0.000 0.162 0.586 1
F3 F 0.000 0.420 0.584 1
```

The 8 most intense peaks (2θ = 10–90°), sorted by position:
- hkl 0 2 0, 15.35 deg, intensity 100.0
- hkl 0 0 2, 20.07 deg, intensity 52.6
- hkl 1 1 0, 24.56 deg, intensity 57.6
- hkl 0 2 2, 25.36 deg, intensity 42.3
- hkl 1 1 2, 31.92 deg, intensity 42.9
- hkl 1 3 0, 33.05 deg, intensity 19.8
- hkl 1 3 2, 38.97 deg, intensity 23.1
- hkl 1 1 4, 48.19 deg, intensity 23.0